Diffraction record for TmInCl. The XRD peak list is simulated, not measured: it uses DFT lattice parameters and positions (GGA-PBE) and Cu Kα (weighted mean of Kα1 and Kα2).

Cell and atoms:
Unit cell a=4.238 b=4.238 c=8.435 alpha=90.00 beta=90.00 gamma=90.00
Fractional positions:
Tm 0.250 0.250 0.212
Tm 0.750 0.750 0.788
In 0.250 0.250 0.582
In 0.750 0.750 0.418
Cl 0.250 0.750 0.000
Cl 0.750 0.250 0.000

Largest 8 diffraction maxima, by angle, 15° ≤ 2θ ≤ 90°:
23.5°, rel. 321
29.9°, rel. 1000
31.7°, rel. 135
36.8°, rel. 144
38.4°, rel. 488
42.7°, rel. 309
53.0°, rel. 200
58.8°, rel. 279


Diffraction record for TmIn3Cl6. The XRD peak list is simulated, not measured: it uses DFT lattice parameters and positions (GGA-PBE) and Cu Kα (weighted mean of Kα1 and Kα2).

Cell and atoms:
Unit cell a=7.252 b=8.355 c=12.655 alpha=90.00 beta=121.47 gamma=90.00
Fractional positions:
Tm 0.000 0.000 0.000
Tm 0.000 0.500 0.500
In 0.299 0.072 0.773
In 0.299 0.428 0.273
In 0.500 0.000 0.500
In 0.500 0.500 0.000
In 0.701 0.572 0.727
In 0.701 0.928 0.227
Cl 0.100 0.070 0.226
Cl 0.100 0.430 0.726
Cl 0.241 0.743 0.081
Cl 0.241 0.757 0.581
Cl 0.337 0.159 0.032
Cl 0.337 0.341 0.532
Cl 0.663 0.659 0.468
Cl 0.663 0.841 0.968
Cl 0.759 0.243 0.419
Cl 0.759 0.257 0.919
Cl 0.900 0.570 0.274
Cl 0.900 0.930 0.774

Largest 8 diffraction maxima, by angle, 15° ≤ 2θ ≤ 90°:
21.3°, rel. 457
22.6°, rel. 1000
23.7°, rel. 965
24.6°, rel. 407
32.7°, rel. 511
33.2°, rel. 339
41.5°, rel. 348
43.3°, rel. 497


Diffraction record for UIn2Cl6. The XRD peak list is simulated, not measured: it uses DFT lattice parameters and positions (GGA-PBE) and Cu Kα (weighted mean of Kα1 and Kα2).

Cell and atoms:
Unit cell a=7.548 b=7.997 c=12.618 alpha=90.00 beta=119.46 gamma=90.00
Fractional positions:
U 0.000 0.000 0.000
U 0.000 0.500 0.500
In 0.318 0.082 0.780
In 0.318 0.418 0.280
In 0.682 0.582 0.720
In 0.682 0.918 0.220
Cl 0.064 0.079 0.219
Cl 0.064 0.421 0.719
Cl 0.238 0.739 0.089
Cl 0.238 0.761 0.589
Cl 0.324 0.174 0.038
Cl 0.324 0.326 0.538
Cl 0.676 0.674 0.462
Cl 0.676 0.826 0.962
Cl 0.762 0.239 0.411
Cl 0.762 0.261 0.911
Cl 0.936 0.579 0.281
Cl 0.936 0.921 0.781

Largest 8 diffraction maxima, by angle, 15° ≤ 2θ ≤ 90°:
15.1°, rel. 583
21.9°, rel. 1000
23.7°, rel. 406
24.0°, rel. 887
26.6°, rel. 714
28.4°, rel. 390
32.8°, rel. 408
43.1°, rel. 469


Diffraction record for VIn3Cl6. The XRD peak list is simulated, not measured: it uses DFT lattice parameters and positions (GGA-PBE) and Cu Kα (weighted mean of Kα1 and Kα2).

Cell and atoms:
Unit cell a=6.908 b=8.159 c=12.072 alpha=90.00 beta=120.72 gamma=90.00
Fractional positions:
V 0.000 0.000 0.000
V 0.000 0.500 0.500
In 0.300 0.070 0.768
In 0.300 0.430 0.268
In 0.500 0.000 0.500
In 0.500 0.500 0.000
In 0.700 0.570 0.732
In 0.700 0.930 0.232
Cl 0.105 0.065 0.218
Cl 0.105 0.435 0.718
Cl 0.229 0.743 0.573
Cl 0.229 0.757 0.073
Cl 0.318 0.154 0.025
Cl 0.318 0.346 0.525
Cl 0.682 0.654 0.475
Cl 0.682 0.846 0.975
Cl 0.771 0.243 0.927
Cl 0.771 0.257 0.427
Cl 0.895 0.565 0.282
Cl 0.895 0.935 0.782

Largest 8 diffraction maxima, by angle, 15° ≤ 2θ ≤ 90°:
21.8°, rel. 395
23.4°, rel. 1000
24.7°, rel. 832
25.9°, rel. 332
34.0°, rel. 560
34.6°, rel. 373
36.3°, rel. 348
43.4°, rel. 276


Diffraction record for InWCl2. The XRD peak list is simulated, not measured: it uses DFT lattice parameters and positions (GGA-PBE) and Cu Kα (weighted mean of Kα1 and Kα2).

Cell and atoms:
Unit cell a=7.262 b=7.262 c=5.185 alpha=109.20 beta=109.20 gamma=24.11
Fractional positions:
In 0.000 0.000 0.000
W 0.500 0.500 0.500
Cl 0.149 0.149 0.656
Cl 0.851 0.851 0.344

Largest 8 diffraction maxima, by angle, 15° ≤ 2θ ≤ 90°:
26.7°, rel. 622
34.3°, rel. 595
34.6°, rel. 769
36.7°, rel. 1000
37.1°, rel. 938
40.5°, rel. 457
43.6°, rel. 916
44.3°, rel. 715


Diffraction record for Y2In5Cl12. The XRD peak list is simulated, not measured: it uses DFT lattice parameters and positions (GGA-PBE) and Cu Kα (weighted mean of Kα1 and Kα2).

Cell and atoms:
Unit cell a=9.312 b=9.312 c=8.218 alpha=115.16 beta=115.16 gamma=62.89
Fractional positions:
Y 0.245 0.755 0.000
Y 0.755 0.245 0.000
In 0.000 0.000 0.500
In 0.276 0.276 0.053
In 0.317 0.317 0.486
In 0.683 0.683 0.514
In 0.724 0.724 0.947
Cl 0.088 0.698 0.168
Cl 0.090 0.090 0.212
Cl 0.130 0.497 0.733
Cl 0.302 0.912 0.832
Cl 0.487 0.487 0.185
Cl 0.497 0.130 0.733
Cl 0.503 0.870 0.267
Cl 0.513 0.513 0.815
Cl 0.698 0.088 0.168
Cl 0.870 0.503 0.267
Cl 0.910 0.910 0.788
Cl 0.912 0.302 0.832

Largest 8 diffraction maxima, by angle, 15° ≤ 2θ ≤ 90°:
19.3°, rel. 616
21.4°, rel. 1000
33.8°, rel. 593
36.0°, rel. 557
37.0°, rel. 627
38.5°, rel. 601
39.4°, rel. 847
43.1°, rel. 591


Diffraction record for YInCl4. The XRD peak list is simulated, not measured: it uses DFT lattice parameters and positions (GGA-PBE) and Cu Kα (weighted mean of Kα1 and Kα2).

Cell and atoms:
Unit cell a=7.136 b=7.136 c=4.130 alpha=90.00 beta=90.00 gamma=92.50
Fractional positions:
Y 0.000 0.000 0.000
In 0.500 0.500 0.500
Cl 0.171 0.829 0.500
Cl 0.264 0.264 0.000
Cl 0.736 0.736 0.000
Cl 0.829 0.171 0.500

Largest 8 diffraction maxima, by angle, 15° ≤ 2θ ≤ 90°:
17.2°, rel. 1000
18.0°, rel. 667
24.9°, rel. 881
28.2°, rel. 302
35.2°, rel. 833
36.0°, rel. 389
36.4°, rel. 303
44.0°, rel. 509


Diffraction record for Zn2In2Cl5. The XRD peak list is simulated, not measured: it uses DFT lattice parameters and positions (GGA-PBE) and Cu Kα (weighted mean of Kα1 and Kα2).

Cell and atoms:
Unit cell a=7.405 b=7.405 c=6.980 alpha=103.07 beta=103.07 gamma=42.78
Fractional positions:
Zn 0.159 0.159 0.401
Zn 0.841 0.841 0.599
In 0.401 0.401 0.153
In 0.599 0.599 0.847
Cl 0.000 0.000 0.500
Cl 0.168 0.168 0.064
Cl 0.339 0.339 0.571
Cl 0.661 0.661 0.429
Cl 0.832 0.832 0.936

Largest 8 diffraction maxima, by angle, 15° ≤ 2θ ≤ 90°:
23.0°, rel. 1000
26.5°, rel. 535
26.7°, rel. 640
30.5°, rel. 269
33.2°, rel. 600
37.5°, rel. 283
42.9°, rel. 285
43.1°, rel. 336